Computed X-ray diffraction stick pattern of CsBeFe2I8 for Cu Kα, 1.54184 Å, from a DFT-relaxed cell (PBE, Alexandria).
No peak broadening, texture or thermal motion is included.

```
data_CsBeFe2I8
_chemical_formula_sum 'Cs2 Be2 Fe4 I16'
_symmetry_space_group_name_H-M 'C 1 2/m 1'
_symmetry_Int_Tables_number 12
_symmetry_space_group_name_Hall '-C 2y'
_cell_length_a 11.6598
_cell_length_b 7.9903
_cell_length_c 10.9806
_cell_angle_alpha 90.00
_cell_angle_beta 98.59
_cell_angle_gamma 90.00
loop_
_atom_site_label
_atom_site_fract_x
_atom_site_fract_y
_atom_site_fract_z
_atom_site_occupancy
Cs1 0.0000 0.0000 0.0000 1
Be1 0.0000 0.0000 0.5000 1
Fe1 0.1156 0.5000 0.3013 1
I1 0.0209 0.2425 0.6847 1
I2 0.1786 0.5000 0.0884 1
I3 0.2263 0.0000 0.5057 1
```

Largest 8 diffraction maxima, most intense first, 2θ = 10–90°:
| two_theta | intensity | hkl |
| --- | --- | --- |
| 27.1 | 100 | 2 0 -3 |
| 27.7 | 99 | 2 2 -1 |
| 24.1 | 33 | 2 0 2 |
| 44.0 | 32 | 4 2 2 |
| 31.1 | 27 | 2 0 3 |
| 33.4 | 25 | 0 2 3 |
| 43.5 | 21 | 4 2 -3 |
| 48.2 | 20 | 2 2 -5 |

Computed X-ray diffraction stick pattern of CsBeGaH6 for Cu Kα, 1.54184 Å, from a DFT-relaxed cell (PBE, Alexandria).
No peak broadening, texture or thermal motion is included.

```
data_CsBeGaH6
_chemical_formula_sum 'Cs1 Be1 Ga1 H6'
_symmetry_space_group_name_H-M 'P 3 1 2'
_symmetry_Int_Tables_number 149
_symmetry_space_group_name_Hall 'P 3 2'
_cell_length_a 4.4446
_cell_length_b 4.4446
_cell_length_c 6.4363
_cell_angle_alpha 90.00
_cell_angle_beta 90.00
_cell_angle_gamma 120.00
loop_
_atom_site_label
_atom_site_fract_x
_atom_site_fract_y
_atom_site_fract_z
_atom_site_occupancy
Cs1 0.0000 0.0000 0.0000 1
Be1 0.6667 0.3333 0.5000 1
Ga1 0.3333 0.6667 0.5000 1
H1 0.3761 0.0212 0.3521 1
```

Largest 8 diffraction maxima, most intense first, 2θ = 10–90°:
| two_theta | intensity | hkl |
| --- | --- | --- |
| 27.0 | 100 | 1 0 1 |
| 23.1 | 25 | 1 0 0 |
| 49.9 | 25 | 1 1 2 |
| 40.6 | 22 | 1 1 0 |
| 27.7 | 21 | 0 0 2 |
| 48.6 | 19 | 1 0 3 |
| 49.4 | 18 | 2 0 1 |
| 36.4 | 16 | 1 0 2 |

Computed X-ray diffraction stick pattern of Cs2BeGaI6 for Cu Kα, 1.54184 Å, from a DFT-relaxed cell (PBE, Alexandria).
No peak broadening, texture or thermal motion is included.

```
data_Cs2BeGaI6
_chemical_formula_sum 'Cs4 Be2 Ga2 I12'
_symmetry_space_group_name_H-M 'I 4/m m m'
_symmetry_Int_Tables_number 139
_symmetry_space_group_name_Hall '-I 4 2'
_cell_length_a 8.1109
_cell_length_b 8.1109
_cell_length_c 11.7077
_cell_angle_alpha 90.00
_cell_angle_beta 90.00
_cell_angle_gamma 90.00
loop_
_atom_site_label
_atom_site_fract_x
_atom_site_fract_y
_atom_site_fract_z
_atom_site_occupancy
Cs1 0.0000 0.5000 0.2500 1
Be1 0.0000 0.0000 0.0000 1
Ga1 0.0000 0.0000 0.5000 1
I1 0.0000 0.0000 0.2486 1
I2 0.2351 0.2351 0.0000 1
```

Largest 8 diffraction maxima, most intense first, 2θ = 10–90°:
| two_theta | intensity | hkl |
| --- | --- | --- |
| 26.7 | 100 | 2 0 2 |
| 31.2 | 45 | 2 2 0 |
| 44.2 | 34 | 2 2 4 |
| 52.8 | 27 | 4 2 2 |
| 30.5 | 25 | 0 0 4 |
| 55.1 | 17 | 4 0 4 |
| 44.7 | 16 | 4 0 0 |
| 52.0 | 16 | 2 0 6 |

Computed X-ray diffraction stick pattern of CsBeGa2Ir for Cu Kα, 1.54184 Å, from a DFT-relaxed cell (PBE, Alexandria).
No peak broadening, texture or thermal motion is included.

```
data_CsBeGa2Ir
_chemical_formula_sum 'Cs1 Be1 Ga2 Ir1'
_symmetry_space_group_name_H-M 'P 4/m m m'
_symmetry_Int_Tables_number 123
_symmetry_space_group_name_Hall '-P 4 2'
_cell_length_a 6.0190
_cell_length_b 6.0190
_cell_length_c 5.1178
_cell_angle_alpha 90.00
_cell_angle_beta 90.00
_cell_angle_gamma 90.00
loop_
_atom_site_label
_atom_site_fract_x
_atom_site_fract_y
_atom_site_fract_z
_atom_site_occupancy
Cs1 0.0000 0.0000 0.0000 1
Be1 0.5000 0.5000 0.5000 1
Ga1 0.0000 0.5000 0.0000 1
Ir1 0.0000 0.0000 0.5000 1
```

Largest 8 diffraction maxima, most intense first, 2θ = 10–90°:
| two_theta | intensity | hkl |
| --- | --- | --- |
| 14.7 | 100 | 1 0 0 |
| 29.7 | 44 | 2 0 0 |
| 33.3 | 28 | 2 1 0 |
| 46.6 | 25 | 2 0 2 |
| 27.3 | 22 | 1 1 1 |
| 38.2 | 19 | 1 0 2 |
| 49.1 | 19 | 2 1 2 |
| 42.5 | 16 | 2 2 0 |

Computed X-ray diffraction stick pattern of CsLi2BeGa for Cu Kα, 1.54184 Å, from a DFT-relaxed cell (PBE, Alexandria).
No peak broadening, texture or thermal motion is included.

```
data_CsLi2BeGa
_chemical_formula_sum 'Cs1 Li2 Be1 Ga1'
_symmetry_space_group_name_H-M 'P 4/m m m'
_symmetry_Int_Tables_number 123
_symmetry_space_group_name_Hall '-P 4 2'
_cell_length_a 5.3158
_cell_length_b 5.3158
_cell_length_c 4.3936
_cell_angle_alpha 90.00
_cell_angle_beta 90.00
_cell_angle_gamma 90.00
loop_
_atom_site_label
_atom_site_fract_x
_atom_site_fract_y
_atom_site_fract_z
_atom_site_occupancy
Cs1 0.0000 0.0000 0.0000 1
Li1 0.0000 0.5000 0.5000 1
Be1 0.5000 0.5000 0.5000 1
Ga1 0.5000 0.5000 0.0000 1
```

Largest 8 diffraction maxima, most intense first, 2θ = 10–90°:
| two_theta | intensity | hkl |
| --- | --- | --- |
| 31.3 | 100 | 1 1 1 |
| 23.7 | 95 | 1 1 0 |
| 20.2 | 60 | 0 0 1 |
| 33.7 | 46 | 2 0 0 |
| 39.6 | 43 | 2 0 1 |
| 58.8 | 32 | 3 1 1 |
| 48.0 | 27 | 1 1 2 |
| 54.2 | 23 | 2 0 2 |

Computed X-ray diffraction stick pattern of CsBe2GeI8 for Cu Kα, 1.54184 Å, from a DFT-relaxed cell (PBE, Alexandria).
No peak broadening, texture or thermal motion is included.

```
data_CsBe2GeI8
_chemical_formula_sum 'Cs3 Be6 Ge3 I24'
_symmetry_space_group_name_H-M 'R -3'
_symmetry_Int_Tables_number 148
_symmetry_space_group_name_Hall '-R 3'
_cell_length_a 7.1183
_cell_length_b 7.1183
_cell_length_c 33.5978
_cell_angle_alpha 90.00
_cell_angle_beta 90.00
_cell_angle_gamma 120.00
loop_
_atom_site_label
_atom_site_fract_x
_atom_site_fract_y
_atom_site_fract_z
_atom_site_occupancy
Cs1 0.0000 0.0000 0.0000 1
Be1 0.0000 0.0000 0.2402 1
Ge1 0.0000 0.0000 0.5000 1
I1 0.0000 0.0000 0.3111 1
I2 0.0025 0.6603 0.8860 1
```

Largest 8 diffraction maxima, most intense first, 2θ = 10–90°:
| two_theta | intensity | hkl |
| --- | --- | --- |
| 26.3 | 100 | 2 -1 3 |
| 29.7 | 84 | 1 1 6 |
| 44.1 | 34 | 3 0 0 |
| 23.8 | 31 | 0 0 9 |
| 41.0 | 26 | 2 -1 12 |
| 50.7 | 23 | 3 0 9 |
| 54.1 | 15 | 4 -2 6 |
| 17.8 | 15 | 1 0 4 |